This entry pairs a crystal structure of SrCo2F8 with its theoretical powder XRD pattern. Radiation: Cu Kα (weighted mean of Kα1 and Kα2). Structure: a DFT-relaxed cell (GGA+U, Alexandria).
No peak broadening, texture or thermal motion is included.

Principal peaks in the range 2θ = 10–80°, in order of rising 2θ:
2theta	intensity	hkl
18.1	50	1 0 1
28.1	100	1 1 2
28.9	14	1 0 3
37.7	28	2 1 1
44.3	14	2 1 3
46.4	41	2 0 4
47.1	15	2 2 0
55.7	33	3 1 2

Cell and atoms:
a b c (Å): 5.459 5.459 11.227
angles (deg): 90.00 90.00 90.00
Space group I422 (No. 97)
Asymmetric unit:
Sr 0.000 0.000 0.000 [2 per cell]
Co 0.000 0.500 0.250 [4 per cell]
F 0.164 0.326 0.861 [16 per cell]